(1)
# Tm2TeSe
Theoretical X-ray powder pattern, Cu Kα (λ = 1.5418 Å). Input: a crystal structure in Alexandria, relaxed with PBE.
Kinematic intensities with the Lorentz-polarization factor, no thermal factor.

Structural model:
```
16
Lattice="5.740 0.000 0.000 0.000 6.247 0.000 0.000 0.000 11.499" Properties=species:S:1:pos:R:3 pbc="T T T"
Tm 0.000 1.162 1.509
Tm 0.000 1.167 7.073
Tm 0.000 5.079 4.426
Tm 0.000 5.085 9.990
Tm 2.870 1.162 4.241
Tm 2.870 1.167 10.176
Tm 2.870 5.079 1.323
Tm 2.870 5.085 7.259
Te 0.000 1.901 10.040
Te 0.000 4.346 1.460
Te 2.870 1.901 7.210
Te 2.870 4.346 4.290
Se 0.000 1.688 4.294
Se 0.000 4.559 7.206
Se 2.870 1.688 1.456
Se 2.870 4.559 10.043
```

Top 10 peaks for 2θ = 5–70°, by angle:
two_theta, d [Å], Rel. int.
14.18, 6.247, 7
26.17, 3.406, 13
28.58, 3.123, 36
31.14, 2.872, 100
36.28, 2.476, 53
42.77, 2.114, 48
44.61, 2.031, 37
53.84, 1.703, 24
58.80, 1.570, 25
63.86, 1.458, 22

(2)
# CeAs2Pd2Rh
Theoretical X-ray powder pattern, Cu Kα (λ = 1.5418 Å). Input: a crystal structure in Alexandria, relaxed with PBE.
Kinematic intensities with the Lorentz-polarization factor, no thermal factor.

Structural model:
```
6
Lattice="-2.008 2.008 7.864 2.008 -2.008 7.864 2.008 2.008 -7.864" Properties=species:S:1:pos:R:3 pbc="T T T"
Ce 0.000 0.000 0.000
As 0.000 0.000 5.472
As 0.000 0.000 10.256
Pd 2.008 0.000 3.932
Pd 0.000 2.008 3.932
Rh 0.000 0.000 7.864
```

Top 10 peaks for 2θ = 5–70°, by angle:
two_theta, d [Å], Rel. int.
22.61, 3.932, 48
27.99, 3.188, 32
31.51, 2.839, 12
33.56, 2.670, 100
45.16, 2.008, 49
46.17, 1.966, 15
47.19, 1.926, 80
51.08, 1.788, 21
65.78, 1.420, 16
66.57, 1.405, 19

(3)
# Li6Pt
Theoretical X-ray powder pattern, Cu Kα (λ = 1.5418 Å). Input: a crystal structure in Alexandria, relaxed with PBE.
Kinematic intensities with the Lorentz-polarization factor, no thermal factor.

Structural model:
```
7
Lattice="2.213 1.278 6.568 -2.213 1.278 6.568 0.000 -2.555 6.568" Properties=species:S:1:pos:R:3 pbc="T T T"
Li 0.000 0.000 1.648
Li 0.000 0.000 4.152
Li 0.000 0.000 7.224
Li 0.000 0.000 12.480
Li 0.000 0.000 15.552
Li 0.000 0.000 18.056
Pt 0.000 0.000 9.852
```

Top 10 peaks for 2θ = 5–70°, by angle:
two_theta, d [Å], Rel. int.
13.48, 6.568, 100
23.65, 3.763, 81
24.93, 3.572, 71
27.15, 3.284, 18
29.53, 3.025, 44
32.59, 2.748, 36
39.73, 2.269, 29
40.77, 2.213, 28
43.13, 2.097, 35
49.68, 1.835, 22

(4)
# ZrZn7
Theoretical X-ray powder pattern, Cu Kα (λ = 1.5418 Å). Input: a crystal structure in Alexandria, relaxed with PBE.
Kinematic intensities with the Lorentz-polarization factor, no thermal factor.

Structural model:
```
8
Lattice="2.909 -4.432 0.000 2.909 4.432 0.000 -2.898 0.000 5.189" Properties=species:S:1:pos:R:3 pbc="T T T"
Zr 0.000 0.000 0.000
Zn -1.449 0.000 2.595
Zn 1.445 2.214 1.273
Zn 1.475 2.214 3.917
Zn 2.909 0.000 0.000
Zn 1.460 0.000 2.595
Zn 1.445 -2.214 1.273
Zn 1.475 -2.214 3.917
```

Top 10 peaks for 2θ = 5–70°, by angle:
two_theta, d [Å], Rel. int.
30.73, 2.909, 21
35.37, 2.538, 37
36.96, 2.432, 34
40.28, 2.239, 100
40.71, 2.216, 49
40.98, 2.202, 54
51.50, 1.774, 19
55.01, 1.669, 20
63.83, 1.458, 13
64.01, 1.455, 12

(5)
# KIn12Hg6
Theoretical X-ray powder pattern, Cu Kα (λ = 1.5418 Å). Input: a crystal structure in Alexandria, relaxed with PBE.
Kinematic intensities with the Lorentz-polarization factor, no thermal factor.

Structural model:
```
19
Lattice="7.003 4.043 3.269 -7.003 4.043 3.269 0.000 -8.086 3.269" Properties=species:S:1:pos:R:3 pbc="T T T"
K 0.000 0.000 0.000
In -2.743 -4.751 4.904
In -5.486 0.000 4.904
In -1.622 -0.936 3.376
In 1.622 -0.936 3.376
In 0.000 1.873 3.376
In 2.743 -4.751 4.904
In -2.743 4.751 4.904
In 0.000 -1.873 6.431
In -1.622 0.936 6.431
In 1.622 0.936 6.431
In 5.486 0.000 4.904
In 2.743 4.751 4.904
Hg -3.456 -1.995 5.494
Hg 0.000 -3.991 4.313
Hg -3.456 1.995 4.313
Hg 3.456 -1.995 5.494
Hg 0.000 3.991 5.494
Hg 3.456 1.995 4.313
```

Top 10 peaks for 2θ = 5–70°, by angle:
two_theta, d [Å], Rel. int.
12.64, 7.003, 52
23.33, 3.813, 42
25.44, 3.501, 60
28.04, 3.182, 65
30.17, 2.962, 64
33.87, 2.647, 47
34.79, 2.579, 100
39.65, 2.273, 44
41.53, 2.174, 59
43.59, 2.076, 49

(6)
# HfO2
Theoretical X-ray powder pattern, Cu Kα (λ = 1.5418 Å). Input: a crystal structure in Alexandria, relaxed with PBE.
Kinematic intensities with the Lorentz-polarization factor, no thermal factor.

Structural model:
```
12
Lattice="5.048 0.000 0.000 0.000 5.270 0.000 0.000 0.000 4.976" Properties=species:S:1:pos:R:3 pbc="T T T"
Hf 1.185 1.147 1.132
Hf 1.339 3.782 3.844
Hf 3.709 1.488 3.844
Hf 3.863 4.123 1.132
O 0.000 0.000 4.652
O 0.000 2.635 0.166
O 1.102 4.521 1.994
O 1.422 1.886 2.982
O 2.524 0.000 4.811
O 2.524 2.635 0.325
O 3.626 3.384 2.982
O 3.946 0.749 1.994
```

Top 10 peaks for 2θ = 5–70°, by angle:
two_theta, d [Å], Rel. int.
30.39, 2.941, 100
34.02, 2.635, 16
35.57, 2.524, 18
36.10, 2.488, 14
50.04, 1.823, 15
50.45, 1.809, 13
51.58, 1.772, 13
58.66, 1.574, 13
60.70, 1.526, 14
61.41, 1.510, 14

(7)
# BeHg2PPt
Theoretical X-ray powder pattern, Cu Kα (λ = 1.5418 Å). Input: a crystal structure in Alexandria, relaxed with PBE.
Kinematic intensities with the Lorentz-polarization factor, no thermal factor.

Structural model:
```
5
Lattice="5.154 0.000 0.000 0.000 5.154 0.000 0.000 0.000 3.850" Properties=species:S:1:pos:R:3 pbc="T T T"
Be 0.000 0.000 0.000
Hg 0.000 2.577 1.925
Hg 2.577 0.000 1.925
P 0.000 0.000 1.925
Pt 2.577 2.577 0.000
```

Top 10 peaks for 2θ = 5–70°, by angle:
two_theta, d [Å], Rel. int.
17.20, 5.154, 18
23.10, 3.850, 11
28.95, 3.084, 22
33.87, 2.647, 100
34.81, 2.577, 57
45.89, 1.978, 12
47.22, 1.925, 12
50.06, 1.822, 21
59.98, 1.542, 24
61.81, 1.501, 36

(8)
# CsP2AuCl
Theoretical X-ray powder pattern, Cu Kα (λ = 1.5418 Å). Input: a crystal structure in Alexandria, relaxed with PBE.
Kinematic intensities with the Lorentz-polarization factor, no thermal factor.

Structural model:
```
5
Lattice="4.751 0.000 0.000 0.000 4.751 0.000 0.000 0.000 7.573" Properties=species:S:1:pos:R:3 pbc="T T T"
Cs 0.000 0.000 0.000
P 0.000 2.376 3.786
P 2.376 0.000 3.786
Au 2.376 2.376 3.786
Cl 2.376 2.376 0.000
```

Top 10 peaks for 2θ = 5–70°, by angle:
two_theta, d [Å], Rel. int.
22.09, 4.025, 100
23.49, 3.786, 48
26.53, 3.360, 35
35.73, 2.513, 32
37.87, 2.376, 27
40.46, 2.229, 22
44.27, 2.046, 34
45.05, 2.012, 33
56.62, 1.626, 17
60.27, 1.536, 14